No. 1
For AlSiH2Se4, a cell relaxed with GGA-PBE gives the simulated powder diffraction line list in this record (Cu Kα X-rays).

Crystal structure
```
AlSiH2Se4
1.0
5.4920 0.0000 0.0000
-0.2831 6.1166 0.0000
-2.5613 -2.9748 5.1992
Al Si H Se
1 1 2 4
direct
0.0000 0.0000 0.0000 Al
0.2549 0.7925 0.5161 Si
0.6401 0.1207 0.3021 H
0.6509 0.3601 0.1123 H
0.1613 0.1474 0.7779 Se
0.3816 0.8836 0.2466 Se
0.5980 0.6575 0.7368 Se
0.8903 0.3438 0.3189 Se
```

Peak list (6 most intense, 10° ≤ 2θ ≤ 90°, in order of rising 2θ)
two_theta, Rel. int.
27.32, 100
27.43, 89
27.94, 93
28.42, 68
29.20, 42
45.44, 62

---

No. 2
For Sm6Al2H, a cell relaxed with GGA-PBE gives the simulated powder diffraction line list in this record (Cu Kα X-rays).

Crystal structure
```
Sm6Al2H
1.0
6.4815 0.0000 0.0000
0.0000 9.2543 0.0000
-5.0169 0.0000 8.0053
Sm Al H
12 4 2
direct
0.1288 0.1359 0.4832 Sm
0.1288 0.3641 0.9832 Sm
0.3159 0.0400 0.1955 Sm
0.3159 0.4600 0.6955 Sm
0.3265 0.7314 0.4412 Sm
0.3265 0.7686 0.9412 Sm
0.6735 0.2314 0.0588 Sm
0.6735 0.2686 0.5588 Sm
0.6841 0.5400 0.3045 Sm
0.6841 0.9600 0.8045 Sm
0.8712 0.6359 0.0168 Sm
0.8712 0.8641 0.5168 Sm
0.1778 0.0888 0.8207 Al
0.1778 0.4112 0.3207 Al
0.8222 0.5888 0.6793 Al
0.8222 0.9112 0.1793 Al
0.5000 0.0000 0.5000 H
0.5000 0.5000 0.0000 H
```

Peak list (6 most intense, 10° ≤ 2θ ≤ 90°, in order of rising 2θ)
two_theta, Rel. int.
25.91, 70
27.34, 83
29.51, 72
29.64, 100
33.31, 86
34.05, 50

---

No. 3
For SrAlH3, a cell relaxed with GGA-PBE gives the simulated powder diffraction line list in this record (Cu Kα X-rays).

Crystal structure
```
SrAlH3
1.0
-1.9428 3.2215 5.3920
1.9428 -3.2215 5.3920
1.9428 3.2215 -5.3920
Sr Al H
2 2 6
direct
0.1780 0.1780 0.0000 Sr
0.8220 0.8220 0.0000 Sr
0.2940 0.5000 0.7940 Al
0.7060 0.5000 0.2060 Al
0.0647 0.3376 0.7271 H
0.2444 0.0000 0.2444 H
0.3895 0.6624 0.7271 H
0.6105 0.3376 0.2729 H
0.7556 0.0000 0.7556 H
0.9353 0.6624 0.2729 H
```

Peak list (6 most intense, 10° ≤ 2θ ≤ 90°, in order of rising 2θ)
two_theta, Rel. int.
16.02, 36
26.79, 100
28.43, 84
32.37, 41
33.97, 70
44.35, 35

---

No. 4
For SrAl2H8, a cell relaxed with GGA-PBE gives the simulated powder diffraction line list in this record (Cu Kα X-rays).

Crystal structure
```
SrAl2H8
1.0
4.5257 -3.5848 0.0000
4.5257 3.5848 0.0000
-2.1340 0.0000 8.5162
Sr Al H
2 4 16
direct
0.2263 0.7737 0.7500 Sr
0.7737 0.2263 0.2500 Sr
0.2082 0.2690 0.0048 Al
0.2690 0.2082 0.5048 Al
0.7310 0.7918 0.4952 Al
0.7918 0.7310 0.9952 Al
0.0175 0.7115 0.4678 H
0.0573 0.6370 0.9395 H
0.1928 0.2263 0.8125 H
0.2263 0.1928 0.3125 H
0.2885 0.9825 0.0322 H
0.3630 0.9427 0.5605 H
0.4055 0.4167 0.1076 H
0.4167 0.4055 0.6076 H
0.5833 0.5945 0.3924 H
0.5945 0.5833 0.8924 H
0.6370 0.0573 0.4395 H
0.7115 0.0175 0.9678 H
0.7737 0.8072 0.6875 H
0.8072 0.7737 0.1875 H
0.9427 0.3630 0.0605 H
0.9825 0.2885 0.5322 H
```

Peak list (6 most intense, 10° ≤ 2θ ≤ 90°, in order of rising 2θ)
two_theta, Rel. int.
17.67, 82
20.39, 100
25.35, 61
32.27, 89
32.66, 84
33.16, 28